Structure and calculated powder XRD pattern of H12WN3O3F3 (a cell relaxed with GGA+U; Cu Kα (λ = 1.5418 Å)).
Peak positions follow from Bragg's law for the DFT cell and can differ from measured ones.

Peak list (10 most intense, 2θ = 10–90°, in order of rising 2θ)
hkl, d (Å), Rel. int.
0 0 1, 6.040, 100
1 0 0, 5.662, 63
0 1 0, 5.621, 75
0 1 -1, 5.118, 68
1 0 -1, 4.995, 69
1 -1 0, 4.861, 51
1 -1 1, 3.853, 35
-1 1 1, 3.724, 30
1 0 1, 3.601, 25
2 0 -1, 2.946, 36

Structural model:
a b c (Å): 6.152 6.195 6.633
angles (deg): 106.27 103.14 103.99
Atoms (fractional coordinates):
H: 0.000 0.000 0.000
H: 0.001 0.062 0.268
H: 0.025 0.282 0.164
H: 0.336 0.411 0.624
H: 0.503 0.615 0.868
H: 0.508 0.402 0.084
H: 0.547 0.670 0.259
H: 0.584 0.605 0.644
H: 0.743 0.168 0.670
H: 0.766 0.059 0.064
H: 0.773 0.598 0.200
H: 0.970 0.580 0.745
W: 0.247 0.835 0.596
N: 0.440 0.588 0.698
N: 0.599 0.580 0.135
N: 0.948 0.099 0.123
O: 0.020 0.743 0.742
O: 0.121 0.595 0.336
O: 0.156 0.069 0.532
F: 0.470 0.046 0.908
F: 0.558 0.948 0.533
F: 0.870 0.318 0.773